# 1
# PrGaPd2
Theoretical powder diffraction line list, Cu Kα X-rays. Input: the GGA-PBE geometry in the Materials Project.

The 12 most intense peaks (2θ from 10° to 80°), low angle first:
2theta	intensity	hkl
30.68	51.0	2 1 1
31.60	39.9	1 2 1
32.96	32.3	1 0 2
34.34	68.8	2 2 0
35.33	100.0	1 1 2
37.77	58.8	2 2 1
38.63	66.7	3 0 1
41.73	34.2	1 2 2
42.62	45.8	1 3 1
50.98	23.5	0 4 0
62.15	22.0	3 3 2
74.96	17.5	1 5 2

Crystal structure
abc: 7.633 7.161 5.815
angles: 90.00 90.00 90.00
Positions (direct):
Pr 0.033 0.250 0.150
Pr 0.467 0.750 0.650
Pr 0.533 0.250 0.350
Pr 0.967 0.750 0.850
Ga 0.120 0.750 0.348
Ga 0.380 0.250 0.848
Ga 0.620 0.750 0.152
Ga 0.880 0.250 0.652
Pd 0.177 0.053 0.588
Pd 0.177 0.447 0.588
Pd 0.323 0.553 0.088
Pd 0.323 0.947 0.088
Pd 0.677 0.053 0.912
Pd 0.677 0.447 0.912
Pd 0.823 0.553 0.412
Pd 0.823 0.947 0.412

---

# 2
# HgSN3
Theoretical powder diffraction line list, Cu Kα X-rays. Input: the GGA-PBE geometry in the Materials Project.

The 12 most intense peaks (2θ from 10° to 80°), low angle first:
2theta	intensity	hkl
11.48	100.0	0 0 2
18.90	67.1	1 1 1
21.40	28.3	1 1 2
24.15	20.4	1 2 1
24.46	25.5	0 2 3
25.03	19.8	1 1 3
29.42	33.3	1 1 4
31.07	21.7	1 3 1
32.70	15.6	1 3 2
33.88	23.4	0 2 5
38.59	17.2	1 3 4
47.20	16.6	2 2 5

Crystal structure
abc: 5.612 10.304 15.419
angles: 90.00 90.00 90.00
Positions (direct):
Hg 0.050 0.124 0.050
Hg 0.050 0.376 0.550
Hg 0.450 0.624 0.050
Hg 0.450 0.876 0.550
Hg 0.550 0.124 0.450
Hg 0.550 0.376 0.950
Hg 0.950 0.624 0.450
Hg 0.950 0.876 0.950
S 0.157 0.572 0.876
S 0.157 0.928 0.376
S 0.343 0.072 0.876
S 0.343 0.428 0.376
S 0.657 0.572 0.624
S 0.657 0.928 0.124
S 0.843 0.072 0.624
S 0.843 0.428 0.124
N 0.176 0.720 0.174
N 0.176 0.780 0.674
N 0.181 0.661 0.956
N 0.181 0.839 0.456
N 0.197 0.550 0.359
N 0.197 0.950 0.859
N 0.303 0.050 0.359
N 0.303 0.450 0.859
N 0.319 0.161 0.956
N 0.319 0.339 0.456
N 0.324 0.220 0.174
N 0.324 0.280 0.674
N 0.676 0.720 0.326
N 0.676 0.780 0.826
N 0.681 0.661 0.544
N 0.681 0.839 0.044
N 0.697 0.550 0.141
N 0.697 0.950 0.641
N 0.803 0.050 0.141
N 0.803 0.450 0.641
N 0.819 0.161 0.544
N 0.819 0.339 0.044
N 0.824 0.220 0.326
N 0.824 0.280 0.826